Structure and theoretical powder XRD pattern of CdNi2Pt6 (a crystal structure in Alexandria, relaxed with PBE; Cu Kα).
Neutral-atom scattering factors, no anomalous dispersion.

Most intense lines, 2θ = 5–70°, by angle:
- 6.611 Å, I = 22, hkl 0 1 1
- 3.792 Å, I = 16, hkl 0 3 1
- 2.544 Å, I = 28, hkl 1 1 1
- 2.238 Å, I = 25, hkl 1 0 2
- 2.230 Å, I = 78, hkl 1 3 1
- 2.204 Å, I = 100, hkl 0 3 3
- 2.182 Å, I = 51, hkl 0 6 0
- 2.117 Å, I = 51, hkl 1 2 2
- 1.847 Å, I = 17, hkl 1 4 2
- 1.843 Å, I = 21, hkl 1 5 1

Crystal structure
Cell lengths 2.7571, 13.0930, 7.6592 Å; angles 90.00, 90.00, 90.00 degrees
Space group Amm2 (No. 38)
Unique sites:
Cd (0.0000, 0.0000, 0.0000) (multiplicity 2)
Ni (0.5000, 0.1539, 0.7858) (multiplicity 4)
Pt (0.0000, 0.0000, 0.6508) (multiplicity 2)
Pt (0.0000, 0.1804, 0.4537) (multiplicity 4)
Pt (0.5000, 0.0000, 0.3343) (multiplicity 2)
Pt (0.5000, 0.1725, 0.1301) (multiplicity 4)

Structure and theoretical powder XRD pattern of Ac8TcGe2 (a crystal structure in Alexandria, relaxed with PBE; Cu Kα).
Neutral-atom scattering factors, no anomalous dispersion.

Most intense lines, 2θ = 5–70°, by angle:
- 3.553 Å, I = 54, hkl 3 1 -1
- 3.478 Å, I = 48, hkl 4 0 -2
- 3.226 Å, I = 59, hkl 4 0 2
- 3.193 Å, I = 99, hkl 5 1 0
- 3.037 Å, I = 100, hkl 1 1 -2
- 2.992 Å, I = 60, hkl 1 1 2
- 2.841 Å, I = 34, hkl 8 0 0
- 2.462 Å, I = 40, hkl 7 1 1
- 2.243 Å, I = 44, hkl 0 2 0
- 1.884 Å, I = 30, hkl 4 2 -2

Crystal structure
Cell lengths 22.8008, 4.4856, 8.3001 Å; angles 90.00, 94.52, 90.00 degrees
Space group C2/m (No. 12)
Unique sites:
Ac (0.0082, 0.0000, 0.2291) (multiplicity 4)
Ac (0.0982, 0.5000, 0.5366) (multiplicity 4)
Ac (0.1288, 0.5000, 0.0325) (multiplicity 4)
Ac (0.2332, 0.0000, 0.6976) (multiplicity 4)
Tc (0.0000, 0.5000, 0.0000) (multiplicity 2)
Ge (0.1631, 0.0000, 0.3361) (multiplicity 4)